Diffraction record for LiTeHO4. The powder diffractogram is simulated, not measured: it uses a cell relaxed with PBE and λ = 1.5418 Å (Cu Kα).

Structural model:
a = 5.205 Å, b = 6.097 Å, c = 5.559 Å
α = 90.00°, β = 113.26°, γ = 90.00°
Atoms (fractional coordinates):
1 Li 0.191 0.000 0.377
2 Li 0.809 0.500 0.623
3 Te 0.490 0.754 0.007
4 Te 0.510 0.254 0.993
5 H 0.049 0.256 0.024
6 H 0.951 0.756 0.976
7 O 0.242 0.763 0.173
8 O 0.254 0.242 0.168
9 O 0.277 0.505 0.775
10 O 0.296 0.003 0.763
11 O 0.704 0.503 0.237
12 O 0.723 0.005 0.225
13 O 0.746 0.742 0.832
14 O 0.758 0.263 0.827

Most intense lines, 5° ≤ 2θ ≤ 70°, in order of falling intensity:
| two_theta | d/Å | Rel. int. |
| --- | --- | --- |
| 17.36 | 5.107 | 100 |
| 18.55 | 4.782 | 67 |
| 19.80 | 4.484 | 54 |
| 34.26 | 2.617 | 35 |
| 42.60 | 2.122 | 29 |
| 34.90 | 2.570 | 23 |
| 46.41 | 1.957 | 21 |
| 29.30 | 3.048 | 19 |



Diffraction record for Er2TmIr3. The powder diffractogram is simulated, not measured: it uses a cell relaxed with PBE and λ = 1.5418 Å (Cu Kα).

Structural model:
a = 4.800 Å, b = 4.800 Å, c = 5.877 Å
α = 90.00°, β = 90.00°, γ = 120.00°
Atoms (fractional coordinates):
1 Er 0.333 0.667 0.167
2 Er 0.667 0.333 0.833
3 Tm 0.000 0.000 0.500
4 Ir 0.000 0.000 0.000
5 Ir 0.333 0.667 0.666
6 Ir 0.667 0.333 0.334

Most intense lines, 5° ≤ 2θ ≤ 70°, in order of falling intensity:
| two_theta | d/Å | Rel. int. |
| --- | --- | --- |
| 37.48 | 2.400 | 100 |
| 67.62 | 1.386 | 36 |
| 54.04 | 1.697 | 18 |



Diffraction record for NaZn2HgF8. The powder diffractogram is simulated, not measured: it uses a cell relaxed with PBE and λ = 1.5418 Å (Cu Kα).

Structural model:
a = 6.206 Å, b = 6.206 Å, c = 6.206 Å
α = 108.62°, β = 108.62°, γ = 111.18°
Atoms (fractional coordinates):
1 Na 0.000 0.000 0.000
2 Zn 0.500 0.500 0.000
3 Zn 0.750 0.250 0.500
4 Hg 0.250 0.750 0.500
5 F 0.312 0.122 0.810
6 F 0.312 0.503 0.190
7 F 0.373 0.059 0.315
8 F 0.497 0.688 0.810
9 F 0.744 0.059 0.685
10 F 0.878 0.688 0.190
11 F 0.941 0.256 0.315
12 F 0.941 0.627 0.685

Most intense lines, 5° ≤ 2θ ≤ 70°, in order of falling intensity:
| two_theta | d/Å | Rel. int. |
| --- | --- | --- |
| 24.59 | 3.620 | 100 |
| 30.91 | 2.893 | 76 |
| 47.42 | 1.917 | 70 |
| 17.60 | 5.038 | 53 |
| 17.32 | 5.120 | 45 |
| 30.41 | 2.940 | 23 |
| 60.32 | 1.535 | 22 |
| 35.64 | 2.519 | 20 |



Diffraction record for ReSb5. The powder diffractogram is simulated, not measured: it uses a cell relaxed with PBE and λ = 1.5418 Å (Cu Kα).

Structural model:
a = 3.229 Å, b = 3.229 Å, c = 14.450 Å
α = 90.00°, β = 90.00°, γ = 90.00°
Atoms (fractional coordinates):
1 Re 0.000 0.000 0.000
2 Sb 0.000 0.000 0.319
3 Sb 0.000 0.000 0.681
4 Sb 0.500 0.500 0.116
5 Sb 0.500 0.500 0.500
6 Sb 0.500 0.500 0.884

Most intense lines, 5° ≤ 2θ ≤ 70°, in order of falling intensity:
| two_theta | d/Å | Rel. int. |
| --- | --- | --- |
| 33.41 | 2.682 | 100 |
| 6.12 | 14.450 | 49 |
| 39.46 | 2.283 | 43 |
| 67.74 | 1.383 | 25 |
| 37.35 | 2.408 | 18 |
| 12.25 | 7.225 | 18 |
| 57.04 | 1.615 | 14 |
| 41.95 | 2.154 | 12 |



Diffraction record for CsLaP4O12. The powder diffractogram is simulated, not measured: it uses a cell relaxed with PBE and λ = 1.5418 Å (Cu Kα).

Structural model:
a = 7.318 Å, b = 9.412 Å, c = 8.958 Å
α = 90.00°, β = 99.39°, γ = 90.00°
Atoms (fractional coordinates):
1 Cs 0.171 0.000 0.173
2 Cs 0.829 0.500 0.827
3 La 0.299 0.166 0.698
4 La 0.701 0.666 0.302
5 P 0.146 0.541 0.544
6 P 0.193 0.592 0.227
7 P 0.415 0.390 0.074
8 P 0.437 0.775 0.625
9 P 0.563 0.275 0.375
10 P 0.585 0.890 0.926
11 P 0.807 0.092 0.773
12 P 0.854 0.041 0.456
13 O 0.007 0.133 0.817
14 O 0.040 0.112 0.491
15 O 0.163 0.406 0.633
16 O 0.227 0.462 0.116
17 O 0.227 0.512 0.389
18 O 0.287 0.652 0.639
19 O 0.341 0.703 0.228
20 O 0.347 0.917 0.594
21 O 0.356 0.317 0.926
22 O 0.428 0.995 0.909
23 O 0.429 0.220 0.472
24 O 0.455 0.267 0.201
25 O 0.545 0.767 0.799
26 O 0.571 0.720 0.528
27 O 0.572 0.495 0.091
28 O 0.644 0.817 0.074
29 O 0.653 0.417 0.406
30 O 0.659 0.203 0.772
31 O 0.713 0.152 0.361
32 O 0.773 0.012 0.611
33 O 0.773 0.962 0.884
34 O 0.837 0.906 0.367
35 O 0.960 0.612 0.509
36 O 0.993 0.633 0.183

Most intense lines, 5° ≤ 2θ ≤ 70°, in order of falling intensity:
| two_theta | d/Å | Rel. int. |
| --- | --- | --- |
| 25.55 | 3.487 | 100 |
| 23.83 | 3.733 | 91 |
| 13.74 | 6.443 | 78 |
| 15.47 | 5.729 | 77 |
| 21.80 | 4.077 | 74 |
| 30.23 | 2.957 | 74 |
| 22.55 | 3.942 | 73 |
| 25.29 | 3.522 | 66 |



Diffraction record for CuPbI3. The powder diffractogram is simulated, not measured: it uses a cell relaxed with PBE and λ = 1.5418 Å (Cu Kα).

Structural model:
a = 4.490 Å, b = 13.330 Å, c = 13.330 Å
α = 148.33°, β = 90.00°, γ = 90.00°
Atoms (fractional coordinates):
1 Cu 0.250 0.116 0.884
2 Cu 0.750 0.884 0.116
3 Pb 0.250 0.425 0.755
4 Pb 0.750 0.755 0.425
5 I 0.250 0.093 0.663
6 I 0.250 0.464 0.256
7 I 0.250 0.805 0.952
8 I 0.750 0.256 0.464
9 I 0.750 0.663 0.093
10 I 0.750 0.952 0.805

Most intense lines, 5° ≤ 2θ ≤ 70°, in order of falling intensity:
| two_theta | d/Å | Rel. int. |
| --- | --- | --- |
| 25.53 | 3.489 | 100 |
| 13.81 | 6.412 | 63 |
| 23.54 | 3.779 | 61 |
| 32.32 | 2.770 | 52 |
| 34.69 | 2.586 | 48 |
| 16.00 | 5.540 | 41 |
| 6.89 | 12.824 | 41 |
| 29.14 | 3.064 | 36 |



Diffraction record for TlZnRe3. The powder diffractogram is simulated, not measured: it uses a cell relaxed with PBE and λ = 1.5418 Å (Cu Kα).

Structural model:
a = 4.563 Å, b = 4.563 Å, c = 4.563 Å
α = 90.00°, β = 90.00°, γ = 90.00°
Atoms (fractional coordinates):
1 Tl 0.000 0.000 0.000
2 Zn 0.500 0.500 0.500
3 Re 0.000 0.500 0.500
4 Re 0.500 0.000 0.500
5 Re 0.500 0.500 0.000

Most intense lines, 5° ≤ 2θ ≤ 70°, in order of falling intensity:
| two_theta | d/Å | Rel. int. |
| --- | --- | --- |
| 34.03 | 2.635 | 100 |
| 39.49 | 2.282 | 74 |
| 57.09 | 1.613 | 51 |
| 68.15 | 1.376 | 42 |
| 27.64 | 3.227 | 4 |
| 19.45 | 4.563 | 2 |
| 48.89 | 1.863 | 2 |
| 44.39 | 2.041 | 1 |



Diffraction record for AcAlCdHg2. The powder diffractogram is simulated, not measured: it uses a cell relaxed with PBE and λ = 1.5418 Å (Cu Kα).

Structural model:
a = 6.905 Å, b = 6.905 Å, c = 6.905 Å
α = 140.96°, β = 140.96°, γ = 56.40°
Atoms (fractional coordinates):
1 Ac 0.000 0.000 0.000
2 Al 0.750 0.250 0.500
3 Cd 0.250 0.750 0.500
4 Hg 0.383 0.383 0.000
5 Hg 0.617 0.617 0.000

Most intense lines, 5° ≤ 2θ ≤ 70°, in order of falling intensity:
| two_theta | d/Å | Rel. int. |
| --- | --- | --- |
| 29.31 | 3.047 | 100 |
| 31.10 | 2.876 | 65 |
| 39.04 | 2.307 | 63 |
| 27.33 | 3.263 | 63 |
| 41.96 | 2.153 | 61 |
| 49.55 | 1.839 | 48 |
| 58.64 | 1.574 | 46 |
| 56.39 | 1.632 | 22 |



Diffraction record for Ti3Te4Se2. The powder diffractogram is simulated, not measured: it uses a cell relaxed with PBE and λ = 1.5418 Å (Cu Kα).

Structural model:
a = 3.657 Å, b = 3.657 Å, c = 21.752 Å
α = 90.00°, β = 90.00°, γ = 120.00°
Atoms (fractional coordinates):
1 Ti 0.000 0.000 0.000
2 Ti 0.000 0.000 0.345
3 Ti 0.667 0.333 0.683
4 Te 0.000 0.000 0.600
5 Te 0.000 0.000 0.766
6 Te 0.667 0.333 0.262
7 Te 0.667 0.333 0.428
8 Se 0.667 0.333 0.072
9 Se 0.667 0.333 0.927

Most intense lines, 5° ≤ 2θ ≤ 70°, in order of falling intensity:
| two_theta | d/Å | Rel. int. |
| --- | --- | --- |
| 35.05 | 2.560 | 100 |
| 28.18 | 3.167 | 74 |
| 28.48 | 3.134 | 57 |
| 49.87 | 1.828 | 55 |
| 24.55 | 3.625 | 48 |
| 37.72 | 2.385 | 39 |
| 40.68 | 2.218 | 38 |
| 32.72 | 2.737 | 38 |



Diffraction record for Rb2MgZrF6. The powder diffractogram is simulated, not measured: it uses a cell relaxed with PBE and λ = 1.5418 Å (Cu Kα).

Structural model:
a = 6.107 Å, b = 6.107 Å, c = 6.107 Å
α = 60.00°, β = 60.00°, γ = 60.00°
Atoms (fractional coordinates):
1 Rb 0.250 0.250 0.250
2 Rb 0.750 0.750 0.750
3 Mg 0.000 0.000 0.000
4 Zr 0.500 0.500 0.500
5 F 0.235 0.235 0.765
6 F 0.235 0.765 0.235
7 F 0.235 0.765 0.765
8 F 0.765 0.235 0.235
9 F 0.765 0.235 0.765
10 F 0.765 0.765 0.235

Most intense lines, 5° ≤ 2θ ≤ 70°, in order of falling intensity:
| two_theta | d/Å | Rel. int. |
| --- | --- | --- |
| 29.25 | 3.054 | 100 |
| 41.84 | 2.159 | 47 |
| 51.86 | 1.763 | 40 |
| 60.65 | 1.527 | 28 |
| 68.74 | 1.366 | 18 |
| 36.02 | 2.493 | 17 |
| 17.79 | 4.987 | 11 |
| 34.44 | 2.604 | 10 |